# MgTi2S4
Simulated powder diffraction line list, λ = 1.5418 Å (Cu Kα). Input: a GGA-PBE-relaxed structure.
Neutral-atom scattering factors, no anomalous dispersion.

Principal peaks in the range 2θ = 10–80°, by angle:
d [Å]  2θ (°)  Rel. int.
6.829  12.96  100.0
2.992  29.87  67.1
2.741  32.67  13.4
2.504  35.86  33.6
2.497  35.96  43.8
2.020  44.87  48.6
2.015  45.00  49.9
1.727  53.02  44.0
1.314  71.88  11.4
1.310  72.07  10.5

Crystal structure
a = 5.983 Å, b = 3.455 Å, c = 13.659 Å
α = 90.00°, β = 90.24°, γ = 90.00°
Fractional coordinates of all 14 atoms:
Mg (0.000, 0.000, 0.000)
Mg (0.500, 0.500, 0.000)
Ti (0.329, 0.000, 0.286)
Ti (0.497, 0.500, 0.766)
Ti (0.829, 0.500, 0.286)
Ti (0.997, 0.000, 0.766)
S (0.329, 0.000, 0.668)
S (0.332, 0.000, 0.894)
S (0.495, 0.500, 0.173)
S (0.497, 0.500, 0.388)
S (0.829, 0.500, 0.668)
S (0.832, 0.500, 0.894)
S (0.995, 0.000, 0.173)
S (0.997, 0.000, 0.388)